Structure and computed XRD peak list of Rb2Te2O7 (a cell relaxed with GGA-PBE; copper Kα).
No peak broadening, texture or thermal motion is included.

Main lines, by angle (2θ = 10–90°):
d 6.733, I 32, hkl 0 0 1; d 3.367, I 44, hkl 0 0 2; d 3.307, I 100, hkl 0 2 1; d 2.961, I 84, hkl 2 0 1; d 2.489, I 24, hkl 2 2 0; d 2.002, I 60, hkl 2 2 2; d 1.933, I 25, hkl 0 2 3; d 1.855, I 25, hkl 2 0 3; d 1.598, I 19, hkl 2 4 1; d 1.475, I 17, hkl 4 2 1

Structure:
```
data_Rb2Te2O7
_chemical_formula_sum 'Rb4 Te4 O14'
_symmetry_space_group_name_H-M 'C m m m'
_symmetry_Int_Tables_number 65
_symmetry_space_group_name_Hall '-C 2 2'
_cell_length_a 6.594
_cell_length_b 7.593
_cell_length_c 6.733
_cell_angle_alpha 90.00
_cell_angle_beta 90.00
_cell_angle_gamma 90.00
loop_
_atom_site_label
_atom_site_type_symbol
_atom_site_fract_x
_atom_site_fract_y
_atom_site_fract_z
Rb1 Rb 0.240 0.000 0.000
Te1 Te 0.000 0.278 0.500
O1 O 0.000 0.000 0.500
O2 O 0.000 0.500 0.323
O3 O 0.250 0.250 0.314
```

***

Structure and computed XRD peak list of Rb6Te2O9 (a cell relaxed with GGA-PBE; copper Kα).
No peak broadening, texture or thermal motion is included.

Main lines, by angle (2θ = 10–90°):
d 5.143, I 6, hkl 2 0 0; d 3.232, I 100, hkl 2 2 -3; d 3.077, I 20, hkl 4 0 -2; d 2.344, I 12, hkl 0 0 4; d 2.230, I 15, hkl 4 4 -2; d 1.898, I 7, hkl 0 4 4; d 1.868, I 13, hkl 2 6 -3; d 1.805, I 10, hkl 6 2 -5; d 1.614, I 6, hkl 4 4 -6; d 1.474, I 7, hkl 2 2 -7

Structure:
```
data_Rb6Te2O9
_chemical_formula_sum 'Rb24 Te8 O36'
_symmetry_space_group_name_H-M 'C 1 2/c 1'
_symmetry_Int_Tables_number 15
_cell_length_a 12.309
_cell_length_b 12.950
_cell_length_c 11.203
_cell_angle_alpha 90.00
_cell_angle_beta 123.20
_cell_angle_gamma 90.00
loop_
_symmetry_equiv_pos_as_xyz
'x,y,z'
'-x,-y,-z'
'-x,y,-z+1/2'
'x,-y,z+1/2'
'x+1/2,y+1/2,z'
'-x+1/2,-y+1/2,-z'
'-x+1/2,y+1/2,-z+1/2'
'x+1/2,-y+1/2,z+1/2'
loop_
_atom_site_label
_atom_site_type_symbol
_atom_site_fract_x
_atom_site_fract_y
_atom_site_fract_z
Rb1 Rb 0.097 0.099 0.477
Rb2 Rb 0.148 0.354 0.028
Rb3 Rb 0.213 0.387 0.737
Te1 Te 0.000 0.126 0.750
Te2 Te 0.000 0.353 0.250
O1 O 0.000 0.274 0.750
O2 O 0.050 0.434 0.408
O3 O 0.109 0.129 0.958
O4 O 0.125 0.043 0.744
O5 O 0.137 0.269 0.286
```

***

Structure and computed XRD peak list of Rb6Te2O (a cell relaxed with GGA-PBE; copper Kα).
No peak broadening, texture or thermal motion is included.

Main lines, by angle (2θ = 10–90°):
d 3.460, I 22, hkl 2 0 0; d 3.159, I 22, hkl 0 0 2; d 3.034, I 100, hkl 0 2 1; d 2.333, I 18, hkl 2 0 2; d 1.998, I 21, hkl 2 2 0; d 1.799, I 19, hkl 0 2 3; d 1.688, I 21, hkl 2 2 2; d 1.668, I 16, hkl 4 0 1; d 1.281, I 13, hkl 2 4 1; d 1.111, I 8, hkl 2 4 3

Structure:
```
data_Rb6Te2O
_chemical_formula_sum 'Rb6 Te2 O1'
_symmetry_space_group_name_H-M 'P -3 m 1'
_symmetry_Int_Tables_number 164
_symmetry_space_group_name_Hall '-P 3 2"'
_cell_length_a 7.9901
_cell_length_b 7.9901
_cell_length_c 6.3171
_cell_angle_alpha 90.00
_cell_angle_beta 90.00
_cell_angle_gamma 120.00
loop_
_atom_site_label
_atom_site_type_symbol
_atom_site_fract_x
_atom_site_fract_y
_atom_site_fract_z
Rb1 Rb 0.1710 0.3420 0.2753
Te1 Te 0.3333 0.6667 0.7608
O1 O 0.0000 0.0000 0.5000
```

***

Structure and computed XRD peak list of Rb5TeO5 (a cell relaxed with GGA-PBE; copper Kα).
No peak broadening, texture or thermal motion is included.

Main lines, by angle (2θ = 10–90°):
d 8.053, I 50, hkl 0 0 1; d 3.348, I 81, hkl 1 1 -2; d 3.286, I 100, hkl 3 1 0; d 3.107, I 41, hkl 2 0 2; d 3.073, I 57, hkl 0 2 0; d 2.547, I 29, hkl 4 0 -2; d 2.185, I 29, hkl 2 2 2; d 1.961, I 23, hkl 4 2 -2; d 1.822, I 21, hkl 1 3 -2; d 1.813, I 19, hkl 3 3 0

Structure:
```
data_Rb5TeO5
_chemical_formula_sum 'Rb10 Te2 O10'
_symmetry_space_group_name_H-M 'C 1 2 1'
_symmetry_Int_Tables_number 5
_cell_length_a 11.795
_cell_length_b 6.147
_cell_length_c 8.142
_cell_angle_alpha 90.00
_cell_angle_beta 98.47
_cell_angle_gamma 90.00
loop_
_symmetry_equiv_pos_as_xyz
'x,y,z'
'-x,y,-z'
'x+1/2,y+1/2,z'
'-x+1/2,y+1/2,-z'
loop_
_atom_site_label
_atom_site_type_symbol
_atom_site_fract_x
_atom_site_fract_y
_atom_site_fract_z
Rb1 Rb 0.000 0.000 0.000
Rb2 Rb 0.163 0.492 0.759
Rb3 Rb 0.176 0.481 0.342
Te1 Te 0.000 0.963 0.500
O1 O 0.000 0.653 0.500
O2 O 0.096 0.068 0.699
O3 O 0.133 0.984 0.379
```

***

Structure and computed XRD peak list of Rb11TeO5 (a cell relaxed with GGA-PBE; copper Kα).
No peak broadening, texture or thermal motion is included.

Main lines, by angle (2θ = 10–90°):
d 6.953, I 39, hkl 1 1 -1; d 3.590, I 37, hkl 1 3 1; d 3.515, I 64, hkl 2 0 1; d 3.366, I 38, hkl 0 4 1; d 3.317, I 100, hkl 1 3 -2; d 2.951, I 40, hkl 2 4 -1; d 2.882, I 65, hkl 2 4 0; d 2.775, I 51, hkl 0 0 3; d 2.766, I 61, hkl 3 3 -1; d 2.142, I 45, hkl 2 4 2

Structure:
```
data_Rb11TeO5
_chemical_formula_sum 'Rb22 Te2 O10'
_symmetry_space_group_name_H-M 'C 1 2/m 1'
_symmetry_Int_Tables_number 12
_cell_length_a 10.049
_cell_length_b 14.719
_cell_length_c 9.023
_cell_angle_alpha 90.00
_cell_angle_beta 112.68
_cell_angle_gamma 90.00
loop_
_symmetry_equiv_pos_as_xyz
'x,y,z'
'-x,-y,-z'
'-x,y,-z'
'x,-y,z'
'x+1/2,y+1/2,z'
'-x+1/2,-y+1/2,-z'
'-x+1/2,y+1/2,-z'
'x+1/2,-y+1/2,z'
loop_
_atom_site_label
_atom_site_type_symbol
_atom_site_fract_x
_atom_site_fract_y
_atom_site_fract_z
Rb1 Rb 0.000 0.000 0.000
Rb2 Rb 0.089 0.205 0.842
Rb3 Rb 0.113 0.500 0.832
Rb4 Rb 0.208 0.374 0.541
Te1 Te 0.000 0.000 0.500
O1 O 0.000 0.500 0.500
O2 O 0.213 0.152 0.147
```

***

Structure and computed XRD peak list of RbTe2O6 (a cell relaxed with GGA-PBE; copper Kα).
No peak broadening, texture or thermal motion is included.

Main lines, by angle (2θ = 10–90°):
d 6.071, I 35, hkl 1 1 1; d 3.718, I 10, hkl 2 2 0; d 3.171, I 100, hkl 3 1 1; d 3.036, I 50, hkl 2 2 2; d 2.024, I 32, hkl 3 3 3; d 1.859, I 42, hkl 4 4 0; d 1.604, I 14, hkl 5 3 3; d 1.585, I 22, hkl 6 2 2; d 1.369, I 24, hkl 7 3 1; d 1.214, I 10, hkl 7 5 1

Structure:
Cell lengths 10.516, 10.516, 10.516 Å; angles 90.00, 90.00, 90.00 degrees
Space group Fd-3m (No. 227, origin choice 2)
One atom of each set of equivalent atoms:
Rb 0.125 0.125 0.125 (multiplicity 8)
Te 0.000 0.000 0.500 (multiplicity 16)
O 0.070 0.375 0.875 (multiplicity 48)

***

Structure and computed XRD peak list of Rb2Te3O12 (a cell relaxed with GGA-PBE; copper Kα).
No peak broadening, texture or thermal motion is included.

Main lines, by angle (2θ = 10–90°):
d 6.373, I 80, hkl 0 0 3; d 5.186, I 30, hkl 0 1 2; d 3.779, I 56, hkl 1 0 4; d 3.251, I 25, hkl 0 1 5; d 3.111, I 72, hkl 1 1 3; d 3.047, I 100, hkl 0 2 1; d 2.937, I 57, hkl 2 0 2; d 2.045, I 26, hkl 0 2 7; d 1.890, I 39, hkl 2 0 8; d 1.782, I 32, hkl 2 2 0

Structure:
```
data_Rb2Te3O12
_chemical_formula_sum 'Rb6 Te9 O36'
_symmetry_space_group_name_H-M 'R -3 m'
_symmetry_Int_Tables_number 166
_symmetry_space_group_name_Hall '-R 3 2"'
_cell_length_a 7.1288
_cell_length_b 7.1288
_cell_length_c 19.1177
_cell_angle_alpha 90.00
_cell_angle_beta 90.00
_cell_angle_gamma 120.00
loop_
_atom_site_label
_atom_site_type_symbol
_atom_site_fract_x
_atom_site_fract_y
_atom_site_fract_z
Rb1 Rb 0.0000 0.0000 0.1313
Te1 Te 0.0000 0.5000 0.0000
O1 O 0.0664 0.5332 0.3666
O2 O 0.1067 0.5533 0.0942
```

***

Structure and computed XRD peak list of Rb3TmTe2O9 (a cell relaxed with GGA-PBE; copper Kα).
No peak broadening, texture or thermal motion is included.

Main lines, by angle (2θ = 10–90°):
d 4.165, I 14, hkl 1 0 1; d 2.945, I 100, hkl 0 1 2; d 2.083, I 31, hkl 2 0 2; d 1.863, I 6, hkl 2 1 1; d 1.701, I 40, hkl 3 0 0; d 1.473, I 19, hkl 2 2 0; d 1.317, I 18, hkl 2 1 4; d 1.202, I 5, hkl 0 4 2; d 1.114, I 11, hkl 1 1 6; d 1.113, I 11, hkl 2 3 2

Structure:
```
data_Rb3TmTe2O9
_chemical_formula_sum 'Rb3 Tm1 Te2 O9'
_symmetry_space_group_name_H-M 'P -3 m 1'
_symmetry_Int_Tables_number 164
_symmetry_space_group_name_Hall '-P 3 2"'
_cell_length_a 5.8875
_cell_length_b 5.8875
_cell_length_c 7.2227
_cell_angle_alpha 90.00
_cell_angle_beta 90.00
_cell_angle_gamma 120.00
loop_
_atom_site_label
_atom_site_type_symbol
_atom_site_fract_x
_atom_site_fract_y
_atom_site_fract_z
Rb1 Rb 0.0000 0.0000 0.0000
Rb2 Rb 0.3333 0.6667 0.6672
Tm1 Tm 0.0000 0.0000 0.5000
Te1 Te 0.3333 0.6667 0.1707
O1 O 0.0000 0.5000 0.0000
O2 O 0.1767 0.3533 0.3168
```

***

What is the formula in the fifth record?
Rb11TeO5

***

Repeat the second record exactly.
Structure and computed XRD peak list of Rb6Te2O9 (a cell relaxed with GGA-PBE; copper Kα).
No peak broadening, texture or thermal motion is included.

Main lines, by angle (2θ = 10–90°):
d 5.143, I 6, hkl 2 0 0; d 3.232, I 100, hkl 2 2 -3; d 3.077, I 20, hkl 4 0 -2; d 2.344, I 12, hkl 0 0 4; d 2.230, I 15, hkl 4 4 -2; d 1.898, I 7, hkl 0 4 4; d 1.868, I 13, hkl 2 6 -3; d 1.805, I 10, hkl 6 2 -5; d 1.614, I 6, hkl 4 4 -6; d 1.474, I 7, hkl 2 2 -7

Structure:
```
data_Rb6Te2O9
_chemical_formula_sum 'Rb24 Te8 O36'
_symmetry_space_group_name_H-M 'C 1 2/c 1'
_symmetry_Int_Tables_number 15
_cell_length_a 12.309
_cell_length_b 12.950
_cell_length_c 11.203
_cell_angle_alpha 90.00
_cell_angle_beta 123.20
_cell_angle_gamma 90.00
loop_
_symmetry_equiv_pos_as_xyz
'x,y,z'
'-x,-y,-z'
'-x,y,-z+1/2'
'x,-y,z+1/2'
'x+1/2,y+1/2,z'
'-x+1/2,-y+1/2,-z'
'-x+1/2,y+1/2,-z+1/2'
'x+1/2,-y+1/2,z+1/2'
loop_
_atom_site_label
_atom_site_type_symbol
_atom_site_fract_x
_atom_site_fract_y
_atom_site_fract_z
Rb1 Rb 0.097 0.099 0.477
Rb2 Rb 0.148 0.354 0.028
Rb3 Rb 0.213 0.387 0.737
Te1 Te 0.000 0.126 0.750
Te2 Te 0.000 0.353 0.250
O1 O 0.000 0.274 0.750
O2 O 0.050 0.434 0.408
O3 O 0.109 0.129 0.958
O4 O 0.125 0.043 0.744
O5 O 0.137 0.269 0.286
```

***

What did the seventh record say?
Structure and computed XRD peak list of Rb2Te3O12 (a cell relaxed with GGA-PBE; copper Kα).
No peak broadening, texture or thermal motion is included.

Main lines, by angle (2θ = 10–90°):
d 6.373, I 80, hkl 0 0 3; d 5.186, I 30, hkl 0 1 2; d 3.779, I 56, hkl 1 0 4; d 3.251, I 25, hkl 0 1 5; d 3.111, I 72, hkl 1 1 3; d 3.047, I 100, hkl 0 2 1; d 2.937, I 57, hkl 2 0 2; d 2.045, I 26, hkl 0 2 7; d 1.890, I 39, hkl 2 0 8; d 1.782, I 32, hkl 2 2 0

Structure:
```
data_Rb2Te3O12
_chemical_formula_sum 'Rb6 Te9 O36'
_symmetry_space_group_name_H-M 'R -3 m'
_symmetry_Int_Tables_number 166
_symmetry_space_group_name_Hall '-R 3 2"'
_cell_length_a 7.1288
_cell_length_b 7.1288
_cell_length_c 19.1177
_cell_angle_alpha 90.00
_cell_angle_beta 90.00
_cell_angle_gamma 120.00
loop_
_atom_site_label
_atom_site_type_symbol
_atom_site_fract_x
_atom_site_fract_y
_atom_site_fract_z
Rb1 Rb 0.0000 0.0000 0.1313
Te1 Te 0.0000 0.5000 0.0000
O1 O 0.0664 0.5332 0.3666
O2 O 0.1067 0.5533 0.0942
```

***

Which formula does entry 5 have?
Rb11TeO5